Record 1
# CsHgClF2
Calculated PXRD pattern, Cu Ka. Input: a cell relaxed with PBE.

Top 8 peaks for 10° ≤ 2θ ≤ 90°, by angle:
- 2θ 25.22, rel. 100
- 2θ 26.26, rel. 56
- 2θ 34.40, rel. 22
- 2θ 37.48, rel. 34
- 2θ 43.79, rel. 29
- 2θ 45.71, rel. 42
- 2θ 51.78, rel. 26
- 2θ 72.00, rel. 14

Structural model:
a b c (Å): 4.800 4.800 5.214
angles (deg): 90.00 90.00 90.00
Atoms (fractional coordinates):
Cs1 0.000 0.000 0.000
Hg1 0.500 0.500 0.500
Cl1 0.500 0.500 0.000
F1 0.000 0.500 0.500
F2 0.500 0.000 0.500

***

Record 2
# Cs2IClF6
Calculated PXRD pattern, Cu Ka. Input: a cell relaxed with PBE.

Top 8 peaks for 10° ≤ 2θ ≤ 90°, by angle:
- 2θ 18.17, rel. 32
- 2θ 24.48, rel. 100
- 2θ 27.08, rel. 100
- 2θ 34.66, rel. 24
- 2θ 35.61, rel. 26
- 2θ 36.82, rel. 31
- 2θ 41.41, rel. 26
- 2θ 46.30, rel. 43

Structural model:
a b c (Å): 13.147 13.147 13.147
angles (deg): 29.01 29.01 29.01
Atoms (fractional coordinates):
Cs1 0.125 0.125 0.125
Cs2 0.258 0.258 0.258
Cs3 0.742 0.742 0.742
Cs4 0.875 0.875 0.875
I1 0.000 0.000 0.000
I2 0.500 0.500 0.500
Cl1 0.426 0.426 0.426
Cl2 0.574 0.574 0.574
F1 0.132 0.654 0.654
F2 0.173 0.173 0.748
F3 0.173 0.748 0.173
F4 0.252 0.827 0.827
F5 0.346 0.346 0.868
F6 0.346 0.868 0.346
F7 0.654 0.132 0.654
F8 0.654 0.654 0.132
F9 0.748 0.173 0.173
F10 0.827 0.252 0.827
F11 0.827 0.827 0.252
F12 0.868 0.346 0.346